Simulated X-ray powder pattern of MgMnZn2O4 for a wavelength of 1.5418 Å, from a crystal structure in Alexandria, relaxed with GGA+U.
Kinematic intensities with the Lorentz-polarization factor, no thermal factor.

Crystal structure
```
16
Lattice="4.7057 0.0000 0.0000 0.0000 4.7057 0.0000 0.0000 0.0000 9.2134" Properties=species:S:1:pos:R:3 pbc="T T T"
Mg 0.0000 0.0000 0.0000
Mg 2.3529 2.3529 4.6067
Mn 0.0000 0.0000 4.6067
Mn 2.3529 2.3529 0.0000
Zn 0.0000 2.3529 2.3033
Zn 0.0000 2.3529 6.9100
Zn 2.3529 0.0000 2.3033
Zn 2.3529 0.0000 6.9100
O 1.1347 1.1347 1.1693
O 1.1347 3.5710 8.0441
O 1.2182 1.2182 5.7760
O 1.2182 3.4876 3.4374
O 3.4876 1.2182 3.4374
O 3.4876 3.4876 5.7760
O 3.5710 1.1347 8.0441
O 3.5710 3.5710 1.1693
```

Principal peaks in the range 2θ = 10–80°, by intensity:
(hkl), two_theta, Rel. int.
1 1 2, 33.2, 100
2 0 4, 55.9, 30
3 1 2, 66.0, 24
2 2 0, 55.2, 16
2 0 0, 38.3, 16
1 1 6, 67.1, 11
0 0 4, 39.1, 7
0 0 2, 19.3, 6